LiPW2O8: computed PXRD pattern (Cu Ka), based on DFT lattice parameters and positions (GGA+U).
Peak positions follow from Bragg's law for the DFT cell and can differ from measured ones.

Unit cell a=6.825 b=5.441 c=9.215 alpha=90.00 beta=99.86 gamma=90.00
Positions (direct):
Li 0.205 0.250 0.123
Li 0.795 0.750 0.877
P 0.279 0.750 0.875
P 0.721 0.250 0.125
W 0.141 0.250 0.410
W 0.448 0.750 0.249
W 0.552 0.250 0.751
W 0.859 0.750 0.590
O 0.000 0.000 0.500
O 0.000 0.500 0.500
O 0.062 0.750 0.793
O 0.262 0.750 0.042
O 0.276 0.010 0.297
O 0.276 0.490 0.297
O 0.367 0.250 0.577
O 0.389 0.516 0.842
O 0.389 0.984 0.842
O 0.611 0.016 0.158
O 0.611 0.484 0.158
O 0.633 0.750 0.423
O 0.724 0.510 0.703
O 0.724 0.990 0.703
O 0.738 0.250 0.958
O 0.938 0.250 0.207

Top 12 peaks for 10° ≤ 2θ ≤ 80°, most intense first:
2θ = 22.2°, intensity 1000; 2θ = 25.5°, intensity 388; 2θ = 17.7°, intensity 272; 2θ = 33.9°, intensity 232; 2θ = 31.3°, intensity 184; 2θ = 27.2°, intensity 173; 2θ = 34.2°, intensity 166; 2θ = 52.5°, intensity 166; 2θ = 45.3°, intensity 162; 2θ = 32.9°, intensity 140; 2θ = 57.7°, intensity 113; 2θ = 30.2°, intensity 103